No. 1
# HoTm2WC3
Theoretical PXRD pattern, Cu Kα X-rays. Input: DFT lattice parameters and positions (PBE).
Lines closer than 0.1° are merged.

Crystal structure
```
data_HoTm2WC3
_symmetry_space_group_name_H-M 'C 1 m 1'
_symmetry_Int_Tables_number 8
_symmetry_space_group_name_Hall 'C -2y'
_cell_length_a 12.260
_cell_length_b 3.299
_cell_length_c 5.859
_cell_angle_alpha 90.00
_cell_angle_beta 113.16
_cell_angle_gamma 90.00
loop_
_atom_site_label
_atom_site_type_symbol
_atom_site_fract_x
_atom_site_fract_y
_atom_site_fract_z
Ho1 Ho 0.000 0.000 0.000
Tm1 Tm 0.239 0.500 0.458
Tm2 Tm 0.479 0.000 0.506
W1 W 0.264 0.000 0.978
C1 C 0.145 0.500 0.957
C2 C 0.349 0.000 0.740
C3 C 0.366 0.500 0.227
```

Largest 10 diffraction maxima, sorted by position, 10° ≤ 2θ ≤ 90°:
2theta, d [Å], I_rel, (hkl)
31.15, 2.871, 64, 1 1 -1
31.75, 2.818, 84, 4 0 0
33.26, 2.693, 83, 0 0 2
34.41, 2.606, 98, 1 1 1
35.73, 2.513, 100, 3 1 -1
35.94, 2.499, 63, 4 0 -2
43.99, 2.058, 45, 3 1 1
54.80, 1.675, 41, 3 1 -3
55.73, 1.650, 42, 0 2 0
60.06, 1.541, 23, 7 1 -1

=====

No. 2
# AgHgSO
Theoretical PXRD pattern, Cu Kα X-rays. Input: DFT lattice parameters and positions (PBE).
Lines closer than 0.1° are merged.

Crystal structure
```
data_AgHgSO
_symmetry_space_group_name_H-M 'P b c a'
_symmetry_Int_Tables_number 61
_symmetry_space_group_name_Hall '-P 2ac 2ab'
_cell_length_a 6.824
_cell_length_b 12.667
_cell_length_c 7.046
_cell_angle_alpha 90.00
_cell_angle_beta 90.00
_cell_angle_gamma 90.00
loop_
_atom_site_label
_atom_site_type_symbol
_atom_site_fract_x
_atom_site_fract_y
_atom_site_fract_z
Ag1 Ag 0.249 0.045 0.003
Hg1 Hg 0.001 0.248 0.245
S1 S 0.000 0.001 0.750
O1 O 0.247 0.244 0.919
```

Largest 10 diffraction maxima, sorted by position, 10° ≤ 2θ ≤ 90°:
2theta, d [Å], I_rel, (hkl)
13.98, 6.333, 27, 0 2 0
22.94, 3.877, 20, 1 2 1
28.18, 3.167, 72, 0 4 0
29.00, 3.079, 94, 0 2 2
29.74, 3.004, 83, 2 2 0
36.66, 2.451, 100, 2 0 2
38.21, 2.355, 22, 0 4 2
46.87, 1.938, 76, 2 4 2
60.97, 1.520, 26, 2 2 4
62.21, 1.492, 23, 4 2 2